Computed powder X-ray diffraction pattern of Na2ZrAlP3O12 for copper Kα, from a DFT-relaxed cell (PBE, the Materials Project).
No peak broadening, texture or thermal motion is included.

Principal peaks in the range 15 to 90 degrees two-theta, by angle:
19.7°, I = 82.9, (1 1 1)
20.2°, I = 41.2, (3 1 -1)
20.3°, I = 28.5, (0 2 0)
23.4°, I = 91.0, (3 1 -2)
23.6°, I = 44.2, (0 2 1)
28.4°, I = 41.0, (2 2 -2)
31.4°, I = 100.0, (3 1 -3)
31.5°, I = 49.8, (0 2 2)
35.2°, I = 23.1, (6 0 -2)
35.5°, I = 36.4, (3 3 -1)

Structure:
```
data_Na2ZrAlP3O12
_symmetry_space_group_name_H-M 'C 1 c 1'
_symmetry_Int_Tables_number 9
_cell_length_a 15.3021
_cell_length_b 8.7398
_cell_length_c 9.0346
_cell_angle_alpha 90.00
_cell_angle_beta 124.17
_cell_angle_gamma 90.00
loop_
_symmetry_equiv_pos_as_xyz
'x,y,z'
'x,-y,z+1/2'
'x+1/2,y+1/2,z'
'x+1/2,-y+1/2,z+1/2'
loop_
_atom_site_label
_atom_site_fract_x
_atom_site_fract_y
_atom_site_fract_z
Na1 0.0000 0.1133 0.0000
Na2 0.2527 0.2495 0.2571
Zr1 0.1064 0.2554 0.8068
Al1 0.3940 0.2455 0.6893
P1 0.1459 0.1151 0.4884
P2 0.3571 0.4012 0.9961
P3 0.4905 0.0401 0.4888
O1 0.0446 0.1801 0.3195
O2 0.0657 0.4464 0.6587
O3 0.0675 0.3514 0.9763
O4 0.1403 0.1332 0.6534
O5 0.1485 0.0628 0.9761
O6 0.2466 0.1865 0.5195
O7 0.2599 0.3302 0.9803
O8 0.3569 0.4223 0.5186
O9 0.3635 0.3694 0.8338
O10 0.4186 0.1456 0.5151
O11 0.4262 0.0644 0.8255
O12 0.4526 0.3311 0.1684
```